This entry pairs a crystal structure of Rb2LiMoCl6 with its calculated powder diffractogram. Radiation: Cu Kα, 1.54184 Å. Structure: a crystal structure in the Materials Project, relaxed with PBE.

Structure:
Cell lengths 10.1729, 10.1729, 10.1729 Å; angles 90.00, 90.00, 90.00 degrees
Space group Fm-3m (No. 225)
Inequivalent atoms, fractional coordinates:
Rb (0.2500, 0.2500, 0.2500) [8 per cell]
Li (0.0000, 0.0000, 0.0000) [4 per cell]
Mo (0.0000, 0.0000, 0.5000) [4 per cell]
Cl (0.0000, 0.0000, 0.2573) [24 per cell]

Principal peaks in the range 5 to 70 degrees two-theta, low angle first:
index  two_theta  I (rel.)
1 1 1  15.1  49
2 2 0  24.8  88
3 1 1  29.1  23
2 2 2  30.4  69
4 0 0  35.3  100
4 2 2  43.6  39
4 4 0  50.8  65
6 2 2  60.4  24

This entry pairs a crystal structure of Li6NCl3 with its calculated powder diffractogram. Radiation: Cu Kα, 1.54184 Å. Structure: a crystal structure in the Materials Project, relaxed with PBE.

Structure:
Cell lengths 6.4750, 3.7431, 13.5289 Å; angles 90.00, 99.92, 90.00 degrees
Space group Cm (No. 8)
Inequivalent atoms, fractional coordinates:
Li (0.0000, 0.0000, 0.0000) [2 per cell]
Li (0.0131, 0.5000, 0.4963) [2 per cell]
Li (0.1338, 0.0000, 0.3671) [2 per cell]
Li (0.2485, 0.0000, 0.7496) [2 per cell]
Li (0.2892, 0.5000, 0.3371) [2 per cell]
Li (0.4072, 0.0000, 0.2062) [2 per cell]
N (0.4594, 0.0000, 0.3468) [2 per cell]
Cl (0.1966, 0.5000, 0.0824) [2 per cell]
Cl (0.2085, 0.0000, 0.5779) [2 per cell]
Cl (0.4438, 0.5000, 0.8286) [2 per cell]

Principal peaks in the range 5 to 70 degrees two-theta, low angle first:
index  two_theta  I (rel.)
0 0 4  26.8  56
2 0 -2  28.9  50
1 1 1  29.0  100
1 1 -3  32.8  43
2 0 2  33.2  21
1 1 5  46.0  25
0 2 0  48.7  44
1 1 -7  53.7  14

This entry pairs a crystal structure of Li6NCl3 with its calculated powder diffractogram. Radiation: Cu Kα, 1.54184 Å. Structure: a crystal structure in the Materials Project, relaxed with PBE.

Structure:
Cell lengths 3.7382, 3.7409, 13.4781 Å; angles 97.19, 90.50, 119.94 degrees
Space group P1 (No. 1)
Inequivalent atoms, fractional coordinates:
Li (0.0000, 0.0000, 0.0000) [1 per cell]
Li (0.0033, 0.4732, 0.4963) [1 per cell]
Li (0.2476, 0.6180, 0.1291) [1 per cell]
Li (0.5042, 0.7215, 0.7466) [1 per cell]
Li (0.5619, 0.2733, 0.1592) [1 per cell]
Li (0.8113, 0.8895, 0.2901) [1 per cell]
N (0.9012, 0.9432, 0.1495) [1 per cell]
Cl (0.3866, 0.6957, 0.9184) [1 per cell]
Cl (0.3900, 0.1707, 0.4138) [1 per cell]
Cl (0.8886, 0.4176, 0.6677) [1 per cell]

Principal peaks in the range 5 to 70 degrees two-theta, low angle first:
index  two_theta  I (rel.)
0 0 4  26.8  91
0 1 -1  27.6  100
-1 1 1  28.9  81
1 0 -2  29.7  47
1 0 2  31.8  61
1 -1 3  33.2  33
0 1 -5  40.7  31
2 -1 1  49.3  24

This entry pairs a crystal structure of Li5NCl2 with its calculated powder diffractogram. Radiation: Cu Kα, 1.54184 Å. Structure: a crystal structure in the Materials Project, relaxed with PBE.

Structure:
Cell lengths 3.6543, 3.6543, 28.8932 Å; angles 90.00, 90.00, 120.00 degrees
Space group R-3m (No. 166, hexagonal axes)
Inequivalent atoms, fractional coordinates:
Li (0.0000, 0.0000, 0.0000) [3 per cell]
Li (0.0000, 0.0000, 0.1745) [6 per cell]
Li (0.0000, 0.0000, 0.4330) [6 per cell]
N (0.0000, 0.0000, 0.5000) [3 per cell]
Cl (0.0000, 0.0000, 0.2818) [6 per cell]

Principal peaks in the range 5 to 70 degrees two-theta, low angle first:
index  two_theta  I (rel.)
0 0 3  9.2  43
0 0 9  27.8  69
0 1 2  28.9  62
1 0 4  30.8  100
0 1 5  32.3  68
1 0 7  35.8  84
1 1 0  49.9  64
1 1 9  58.1  36

This entry pairs a crystal structure of Li5NCl2 with its calculated powder diffractogram. Radiation: Cu Kα, 1.54184 Å. Structure: a crystal structure in the Materials Project, relaxed with PBE.

Structure:
Cell lengths 6.7590, 3.6593, 9.2491 Å; angles 90.00, 94.89, 90.00 degrees
Space group P2/m (No. 10)
Inequivalent atoms, fractional coordinates:
Li (0.0309, 0.0000, 0.2300) [2 per cell]
Li (0.1279, 0.5000, 0.9359) [2 per cell]
Li (0.1752, 0.5000, 0.3926) [2 per cell]
Li (0.2862, 0.0000, 0.0982) [2 per cell]
Li (0.4609, 0.5000, 0.2468) [2 per cell]
N (0.1643, 0.5000, 0.1665) [2 per cell]
Cl (0.0000, 0.0000, 0.5000) [1 per cell]
Cl (0.3342, 0.0000, 0.8390) [2 per cell]
Cl (0.5000, 0.5000, 0.5000) [1 per cell]

Principal peaks in the range 5 to 70 degrees two-theta, low angle first:
index  two_theta  I (rel.)
1 0 2  24.3  5
1 1 -1  29.0  100
2 0 -2  31.5  11
1 1 2  34.7  14
1 1 -4  47.6  32
0 2 0  49.8  15
2 0 -5  54.7  9
3 1 3  58.7  19